Computed powder diffractogram
Compound: Er2Mn3Ga
Radiation: Cu Kα, 1.54184 Å
Structure: the PBE geometry in Alexandria
Lines closer than 0.1° are merged.

Main lines, low angle first (2θ from 5° to 70°):
2θ 20.4, d 4.348, I 23; 2θ 33.6, d 2.670, I 75; 2θ 34.1, d 2.627, I 59; 2θ 39.6, d 2.275, I 43; 2θ 39.9, d 2.262, I 100; 2θ 40.3, d 2.236, I 52; 2θ 41.5, d 2.174, I 21; 2θ 60.4, d 1.533, I 23; 2θ 64.3, d 1.449, I 24; 2θ 64.6, d 1.442, I 25

Structural model:
a b c (Å): 5.256 5.256 5.256
angles (deg): 61.05 61.05 61.05
Fractional positions:
Er  0.124  0.124  0.124
Er  0.876  0.876  0.876
Mn  0.000  0.500  0.500
Mn  0.500  0.000  0.500
Mn  0.500  0.500  0.000
Ga  0.500  0.500  0.500